Entry 1:
Theoretical XRD peak list of Pm6Er8In for Cu Kα (λ = 1.5418 Å), from a PBE-relaxed structure.
No peak broadening, texture or thermal motion is included.

Cell and atoms:
```
15
Lattice="9.4077 0.0000 0.0000 -4.7038 8.1473 0.0000 0.0000 0.0000 6.3469" Properties=species:S:1:pos:R:3 pbc="T T T"
Pm -2.1633 5.2119 1.1686
Pm 1.2719 3.6679 1.1686
Pm 3.8125 0.7325 5.1782
Pm 0.8914 7.4148 1.1686
Pm 3.4320 4.4794 5.1782
Pm 6.8671 2.9354 5.1782
Er -3.2817 6.3166 4.3648
Er 0.8743 2.1470 4.3648
Er 2.2965 0.3163 1.9820
Er 0.0000 5.4315 4.2657
Er 4.7038 2.7158 2.0812
Er 2.4074 7.8310 4.3648
Er 3.8295 6.0003 1.9820
Er 7.9855 1.8307 1.9820
In 0.0000 0.0000 0.0000
```

Principal peaks in the range 15° ≤ 2θ ≤ 90°, by angle:
d [Å]	intensity	h k l
3.428	13	0 2 1
3.173	15	0 0 2
3.079	21	1 2 0
2.957	11	0 1 2
2.771	100	3 -1 1
2.631	20	1 1 2
2.210	14	1 2 2
1.778	18	4 1 0
1.551	9	5 -4 2
1.496	13	2 4 1

Entry 2:
Theoretical XRD peak list of LiTmCd5 for Cu Kα (λ = 1.5418 Å), from a PBE-relaxed structure.
No peak broadening, texture or thermal motion is included.

Cell and atoms:
```
14
Lattice="6.0867 0.0000 0.0000 0.0000 8.7422 0.0000 0.0000 0.0000 6.4524" Properties=species:S:1:pos:R:3 pbc="T T T"
Li 0.0000 0.0000 0.0000
Li 3.0434 4.3711 0.0000
Tm 0.0000 4.3711 3.2262
Tm 3.0434 0.0000 3.2262
Cd 0.0000 4.3711 0.0000
Cd 1.5217 2.1855 1.6144
Cd 1.5217 2.1855 4.8381
Cd 1.5217 6.5566 1.6144
Cd 1.5217 6.5566 4.8381
Cd 3.0434 0.0000 0.0000
Cd 4.5650 2.1855 1.6144
Cd 4.5650 2.1855 4.8381
Cd 4.5650 6.5566 1.6144
Cd 4.5650 6.5566 4.8381
```

Principal peaks in the range 15° ≤ 2θ ≤ 90°, by angle:
d [Å]	intensity	h k l
4.995	71	1 1 0
2.710	31	1 1 2
2.628	14	1 3 0
2.596	100	0 2 2
2.498	90	2 2 0
2.214	63	2 0 2
2.186	30	0 4 0
1.555	40	2 4 2
1.355	25	2 2 4
1.313	34	4 2 2